This entry pairs a crystal structure of CaSmGa with its simulated XRD peak list. Radiation: λ = 1.5418 Å (Cu Kα). Structure: the PBE geometry in Alexandria.
No peak broadening, texture or thermal motion is included.

Principal peaks in the range 2θ from 10° to 90°, by intensity:
2θ 34.06, d 2.633, I = 1000
2θ 32.99, d 2.715, I = 734
2θ 43.58, d 2.077, I = 473
2θ 23.53, d 3.780, I = 314
2θ 26.37, d 3.380, I = 297
2θ 65.65, d 1.422, I = 285
2θ 19.47, d 4.560, I = 261
2θ 48.14, d 1.890, I = 247
2θ 60.28, d 1.535, I = 246
2θ 60.96, d 1.520, I = 179

Structure:
```
data_CaSmGa
_chemical_formula_sum 'Ca2 Sm2 Ga2'
_cell_length_a 5.2652
_cell_length_b 5.2652
_cell_length_c 6.7604
_cell_angle_alpha 90.00
_cell_angle_beta 90.00
_cell_angle_gamma 120.00
_symmetry_space_group_name_H-M 'P 63/m m c'
_symmetry_Int_Tables_number 194
_symmetry_space_group_name_Hall '-P 6c 2c'
loop_
_atom_site_label
_atom_site_type_symbol
_atom_site_fract_x
_atom_site_fract_y
_atom_site_fract_z
Ca1 Ca 0.0000 0.0000 0.0000
Sm1 Sm 0.3333 0.6667 0.2500
Ga1 Ga 0.3333 0.6667 0.7500
```

This entry pairs a crystal structure of CaGaSn2 with its simulated XRD peak list. Radiation: λ = 1.5418 Å (Cu Kα). Structure: the PBE geometry in Alexandria.
No peak broadening, texture or thermal motion is included.

Principal peaks in the range 2θ from 10° to 90°, by intensity:
2θ 33.37, d 2.685, I = 1000
2θ 39.85, d 2.262, I = 308
2θ 68.25, d 1.374, I = 254
2θ 55.05, d 1.668, I = 240
2θ 36.38, d 2.470, I = 198
2θ 63.56, d 1.464, I = 156
2θ 17.96, d 4.939, I = 133
2θ 70.09, d 1.343, I = 118
2θ 57.63, d 1.600, I = 105
2θ 27.89, d 3.199, I = 97

Structure:
```
data_CaGaSn2
_chemical_formula_sum 'Ca2 Ga2 Sn4'
_cell_length_a 4.5241
_cell_length_b 4.5241
_cell_length_c 9.8783
_cell_angle_alpha 90.00
_cell_angle_beta 90.00
_cell_angle_gamma 90.00
_symmetry_space_group_name_H-M 'I 4/m m m'
_symmetry_Int_Tables_number 139
_symmetry_space_group_name_Hall '-I 4 2'
loop_
_atom_site_label
_atom_site_type_symbol
_atom_site_fract_x
_atom_site_fract_y
_atom_site_fract_z
Ca1 Ca 0.0000 0.0000 0.0000
Ga1 Ga 0.0000 0.0000 0.5000
Sn1 Sn 0.0000 0.5000 0.2500
```

This entry pairs a crystal structure of Ca4Ga2Sn5 with its simulated XRD peak list. Radiation: λ = 1.5418 Å (Cu Kα). Structure: the PBE geometry in Alexandria.
No peak broadening, texture or thermal motion is included.

Principal peaks in the range 2θ from 10° to 90°, by intensity:
2θ 35.50, d 2.529, I = 1000
2θ 25.46, d 3.499, I = 767
2θ 34.11, d 2.628, I = 649
2θ 36.12, d 2.487, I = 599
2θ 33.32, d 2.689, I = 556
2θ 32.57, d 2.749, I = 477
2θ 43.04, d 2.101, I = 336
2θ 63.94, d 1.456, I = 326
2θ 44.20, d 2.049, I = 308
2θ 44.71, d 2.027, I = 285

Structure:
```
data_Ca4Ga2Sn5
_chemical_formula_sum 'Ca4 Ga2 Sn5'
_cell_length_a 8.0419
_cell_length_b 3.4986
_cell_length_c 10.2764
_cell_angle_alpha 90.00
_cell_angle_beta 93.49
_cell_angle_gamma 90.00
_symmetry_space_group_name_H-M 'P 1 2/m 1'
_symmetry_Int_Tables_number 10
loop_
_symmetry_equiv_pos_as_xyz
'x,y,z'
'-x,-y,-z'
'-x,y,-z'
'x,-y,z'
loop_
_atom_site_label
_atom_site_type_symbol
_atom_site_fract_x
_atom_site_fract_y
_atom_site_fract_z
Ca1 Ca 0.1730 0.0000 0.3863
Ca2 Ca 0.2751 0.0000 0.9354
Ga1 Ga 0.0592 0.5000 0.1257
Sn1 Sn 0.1796 0.5000 0.6691
Sn2 Sn 0.4190 0.5000 0.1958
Sn3 Sn 0.5000 0.5000 0.5000
```

This entry pairs a crystal structure of Ca2GaSn4 with its simulated XRD peak list. Radiation: λ = 1.5418 Å (Cu Kα). Structure: the PBE geometry in Alexandria.
No peak broadening, texture or thermal motion is included.

Principal peaks in the range 2θ from 10° to 90°, by intensity:
2θ 33.68, d 2.661, I = 1000
2θ 33.84, d 2.649, I = 988
2θ 40.34, d 2.236, I = 611
2θ 18.14, d 4.891, I = 562
2θ 28.23, d 3.162, I = 401
2θ 36.75, d 2.445, I = 395
2θ 69.23, d 1.357, I = 378
2θ 55.74, d 1.649, I = 238
2θ 58.38, d 1.581, I = 207
2θ 44.62, d 2.031, I = 186

Structure:
```
data_Ca2GaSn4
_chemical_formula_sum 'Ca4 Ga2 Sn8'
_cell_length_a 8.9516
_cell_length_b 8.9336
_cell_length_c 6.6068
_cell_angle_alpha 90.00
_cell_angle_beta 132.25
_cell_angle_gamma 90.00
_symmetry_space_group_name_H-M 'C 1 2/m 1'
_symmetry_Int_Tables_number 12
loop_
_symmetry_equiv_pos_as_xyz
'x,y,z'
'-x,-y,-z'
'-x,y,-z'
'x,-y,z'
'x+1/2,y+1/2,z'
'-x+1/2,-y+1/2,-z'
'-x+1/2,y+1/2,-z'
'x+1/2,-y+1/2,z'
loop_
_atom_site_label
_atom_site_type_symbol
_atom_site_fract_x
_atom_site_fract_y
_atom_site_fract_z
Ca1 Ca 0.2500 0.2500 0.0000
Ga1 Ga 0.0000 0.0000 0.0000
Sn1 Sn 0.0000 0.0000 0.5000
Sn2 Sn 0.0000 0.5000 0.5000
Sn3 Sn 0.2500 0.2500 0.5000
```